Structure and theoretical X-ray diffraction stick pattern of Tb6Pm2PrTm3 (a DFT-relaxed cell (GGA-PBE, Alexandria); CuKα).
Kinematic intensities with the Lorentz-polarization factor, no thermal factor.

Main lines, in order of rising 2θ (2θ from 10° to 80°):
- 30.68°, intensity 100
- 35.57°, intensity 51
- 51.18°, intensity 36
- 60.85°, intensity 36
- 60.92°, intensity 7
- 63.85°, intensity 9
- 63.96°, intensity 3
- 75.30°, intensity 6

Crystal structure
abc: 6.1855 6.1855 11.8250
angles: 94.99 94.99 119.98
Sites, in units of the cell vectors:
Tb  0.0805  0.4142  0.2448
Tb  0.2521  0.2521  0.7553
Tb  0.4142  0.0805  0.2448
Tb  0.5858  0.9195  0.7552
Tb  0.7479  0.7479  0.2447
Tb  0.9195  0.5858  0.7552
Pm  0.1666  0.8334  0.5000
Pm  0.8334  0.1666  0.5000
Pr  0.5000  0.5000  0.5000
Tm  0.0000  0.0000  0.0000
Tm  0.3332  0.6668  0.0000
Tm  0.6668  0.3332  0.0000